This entry pairs a crystal structure of InH3C2O5 with its computed XRD peak list. Radiation: Cu Kα. Structure: a DFT-relaxed cell (PBE, the Materials Project).
No peak broadening, texture or thermal motion is included.

Cell: 12.8734 12.8734 6.3248 Å, 90.00 90.00 90.00°
Space group I-42d (No. 122)
Unique sites:
In  0.1468  0.7500  0.1250
H  0.0520  0.6246  0.5758
H  0.1252  0.2500  0.1250
C  0.0134  0.1479  0.7762
O  0.0031  0.6943  0.3006
O  0.1036  0.1250  0.7057
O  0.2018  0.2500  0.1250

Main lines, sorted by position (2θ = 15–90°):
index  two_theta  d (Å)  Rel. int.
1 0 1  15.61  5.677  346
2 1 1  20.86  4.257  1000
3 1 0  21.83  4.071  290
3 0 1  25.08  3.551  435
1 1 2  29.91  2.987  194
4 1 1  31.97  2.800  275
5 1 0  35.56  2.525  256
4 3 1  37.72  2.385  271
4 0 2  39.97  2.256  272
4 2 2  42.46  2.129  187